# 1
The following is a theoretical X-ray diffraction stick pattern of Mg5MnSb4. It was derived from a PBE-relaxed structure, using Cu Kα.
No peak broadening, texture or thermal motion is included.

Principal peaks in the range 2θ from 10° to 90°, in order of rising 2θ:
22.5°, 3.956 Å, I 409
25.7°, 3.473 Å, I 1000
33.5°, 2.673 Å, I 599
39.5°, 2.284 Å, I 624
43.9°, 2.063 Å, I 452
47.0°, 1.933 Å, I 298

Atomic structure:
```
Mg5MnSb4
1.0
4.5681 0.0000 0.0000
-2.2840 3.9561 0.0000
0.0000 0.0000 14.5039
Mg Mn Sb
5 1 4
direct
0.0000 0.0000 0.0000 Mg
0.0000 0.0000 0.4977 Mg
0.3333 0.6667 0.1851 Mg
0.3333 0.6667 0.6842 Mg
0.6667 0.3333 0.8687 Mg
0.6667 0.3333 0.3705 Mn
0.0000 0.0000 0.2996 Sb
0.0000 0.0000 0.7968 Sb
0.6667 0.3333 0.0722 Sb
0.6667 0.3333 0.5688 Sb
```



# 2
The following is a theoretical X-ray diffraction stick pattern of FeSe. It was derived from a PBE-relaxed structure, using Cu Kα.
No peak broadening, texture or thermal motion is included.

Principal peaks in the range 2θ from 10° to 90°, in order of rising 2θ:
23.2°, 3.827 Å, I 389
31.0°, 2.888 Å, I 489
34.1°, 2.629 Å, I 512
38.2°, 2.356 Å, I 597
41.0°, 2.201 Å, I 530
50.5°, 1.808 Å, I 1000

Atomic structure:
```
FeSe
1.0
6.5571 0.0000 0.0000
0.0000 4.4013 0.0000
0.0000 0.0000 4.7125
Fe Se
4 4
direct
0.0963 0.2500 0.0258 Fe
0.4037 0.7500 0.5258 Fe
0.5963 0.2500 0.4742 Fe
0.9037 0.7500 0.9742 Fe
0.2312 0.2500 0.5215 Se
0.2688 0.7500 0.0215 Se
0.7312 0.2500 0.9785 Se
0.7688 0.7500 0.4785 Se
```



# 3
The following is a theoretical X-ray diffraction stick pattern of AlH10C3N. It was derived from a PBE-relaxed structure, using Cu Kα.
No peak broadening, texture or thermal motion is included.

Principal peaks in the range 2θ from 10° to 90°, in order of rising 2θ:
12.2°, 7.229 Å, I 1000
15.6°, 5.677 Å, I 705
17.9°, 4.950 Å, I 316
18.2°, 4.862 Å, I 619
24.3°, 3.670 Å, I 140
35.6°, 2.525 Å, I 254

Atomic structure:
```
AlH10C3N
1.0
5.0634 -5.6774 0.0000
5.0634 5.6774 0.0000
-4.1305 0.0000 10.1092
Al H C N
4 40 12 4
direct
0.0185 0.9137 0.8647 Al
0.0863 0.9815 0.6353 Al
0.9137 0.0185 0.3647 Al
0.9815 0.0863 0.1353 Al
0.0152 0.4134 0.3766 H
0.0444 0.1523 0.5721 H
0.0564 0.7351 0.1673 H
0.1223 0.7464 0.8842 H
0.1408 0.3565 0.9734 H
0.1424 0.3928 0.8186 H
0.1523 0.0444 0.0721 H
0.2054 0.3990 0.5034 H
0.2257 0.4659 0.2399 H
0.2536 0.8777 0.6158 H
0.2649 0.9436 0.3327 H
0.2969 0.6310 0.3994 H
0.3565 0.1408 0.4734 H
0.3690 0.7031 0.1006 H
0.3928 0.1424 0.3186 H
0.3990 0.2054 0.0034 H
0.4134 0.0152 0.8766 H
0.4188 0.4486 0.3655 H
0.4486 0.4188 0.8655 H
0.4659 0.2257 0.7399 H
0.5341 0.7743 0.2601 H
0.5514 0.5812 0.1345 H
0.5812 0.5514 0.6345 H
0.5866 0.9848 0.1234 H
0.6010 0.7946 0.9966 H
0.6072 0.8576 0.6814 H
0.6310 0.2969 0.8994 H
0.6435 0.8592 0.5266 H
0.7031 0.3690 0.6006 H
0.7351 0.0564 0.6673 H
0.7464 0.1223 0.3842 H
0.7743 0.5341 0.7601 H
0.7946 0.6010 0.4966 H
0.8477 0.9556 0.9279 H
0.8576 0.6072 0.1814 H
0.8592 0.6435 0.0266 H
0.8777 0.2536 0.1158 H
0.9436 0.2649 0.8327 H
0.9556 0.8477 0.4279 H
0.9848 0.5866 0.6234 H
0.0953 0.2917 0.8655 C
0.1498 0.3697 0.3950 C
0.2806 0.4838 0.3465 C
0.2917 0.0953 0.3655 C
0.3697 0.1498 0.8950 C
0.4838 0.2806 0.8465 C
0.5162 0.7194 0.1535 C
0.6303 0.8502 0.1050 C
0.7083 0.9047 0.6345 C
0.7194 0.5162 0.6535 C
0.8502 0.6303 0.6050 C
0.9047 0.7083 0.1345 C
0.1169 0.1660 0.3323 N
0.1660 0.1169 0.8323 N
0.8340 0.8831 0.1677 N
0.8831 0.8340 0.6677 N
```



# 4
The following is a theoretical X-ray diffraction stick pattern of LaTh4O10. It was derived from a PBE-relaxed structure, using Cu Kα.
No peak broadening, texture or thermal motion is included.

Principal peaks in the range 2θ from 10° to 90°, in order of rising 2θ:
27.4°, 3.259 Å, I 1000
31.7°, 2.823 Å, I 358
45.4°, 1.996 Å, I 512
53.9°, 1.702 Å, I 477
73.1°, 1.295 Å, I 196
84.0°, 1.152 Å, I 168

Atomic structure:
```
LaTh4O10
1.0
-4.4632 4.4632 2.8220
4.4632 -4.4632 2.8220
4.4632 4.4632 -2.8220
La Th O
1 4 10
direct
0.0000 0.0000 0.0000 La
0.2005 0.3995 0.6000 Th
0.3995 0.7995 0.1990 Th
0.6005 0.2005 0.8010 Th
0.7995 0.6005 0.4000 Th
0.0508 0.3572 0.8971 O
0.1538 0.0508 0.6936 O
0.2500 0.7500 0.5000 O
0.3572 0.4602 0.3064 O
0.4602 0.1538 0.1029 O
0.5398 0.8462 0.8971 O
0.6428 0.5398 0.6936 O
0.7500 0.2500 0.5000 O
0.8462 0.9492 0.3064 O
0.9492 0.6428 0.1029 O
```



# 5
The following is a theoretical X-ray diffraction stick pattern of Tb5CuBi3. It was derived from a PBE-relaxed structure, using Cu Kα.
No peak broadening, texture or thermal motion is included.

Principal peaks in the range 2θ from 10° to 90°, in order of rising 2θ:
32.4°, 2.760 Å, I 942
33.2°, 2.696 Å, I 774
33.9°, 2.645 Å, I 1000
48.2°, 1.888 Å, I 254
52.2°, 1.753 Å, I 251
68.0°, 1.379 Å, I 238

Atomic structure:
```
Tb5CuBi3
1.0
9.3404 0.0000 0.0000
-4.6702 8.0890 0.0000
0.0000 0.0000 6.4172
Tb Cu Bi
10 2 6
direct
0.0000 0.2558 0.2500 Tb
0.0000 0.7442 0.7500 Tb
0.2558 0.0000 0.2500 Tb
0.2558 0.2558 0.7500 Tb
0.3333 0.6667 0.0000 Tb
0.3333 0.6667 0.5000 Tb
0.6667 0.3333 0.0000 Tb
0.6667 0.3333 0.5000 Tb
0.7442 0.0000 0.7500 Tb
0.7442 0.7442 0.2500 Tb
0.0000 0.0000 0.0000 Cu
0.0000 0.0000 0.5000 Cu
0.0000 0.3851 0.7500 Bi
0.0000 0.6149 0.2500 Bi
0.3851 0.0000 0.7500 Bi
0.3851 0.3851 0.2500 Bi
0.6149 0.0000 0.2500 Bi
0.6149 0.6149 0.7500 Bi
```



# 6
The following is a theoretical X-ray diffraction stick pattern of TbFe2SiC. It was derived from a PBE-relaxed structure, using Cu Kα.
No peak broadening, texture or thermal motion is included.

Principal peaks in the range 2θ from 10° to 90°, in order of rising 2θ:
31.6°, 2.831 Å, I 287
35.0°, 2.561 Å, I 467
36.8°, 2.445 Å, I 1000
36.9°, 2.435 Å, I 491
37.6°, 2.394 Å, I 554
43.9°, 2.063 Å, I 313

Atomic structure:
```
TbFe2SiC
1.0
1.8896 -5.2240 0.0000
1.8896 5.2240 0.0000
0.0000 0.0000 6.7368
Tb Fe Si C
2 4 2 2
direct
0.0516 0.9484 0.7500 Tb
0.9484 0.0516 0.2500 Tb
0.3346 0.6654 0.5633 Fe
0.3346 0.6654 0.9367 Fe
0.6654 0.3346 0.0633 Fe
0.6654 0.3346 0.4367 Fe
0.2292 0.7708 0.2500 Si
0.7708 0.2292 0.7500 Si
0.5000 0.5000 0.0000 C
0.5000 0.5000 0.5000 C
```



# 7
The following is a theoretical X-ray diffraction stick pattern of CrN2. It was derived from a PBE-relaxed structure, using Cu Kα.
No peak broadening, texture or thermal motion is included.

Principal peaks in the range 2θ from 10° to 90°, in order of rising 2θ:
18.9°, 4.684 Å, I 623
24.1°, 3.693 Å, I 794
26.9°, 3.317 Å, I 1000
29.5°, 3.029 Å, I 826
31.4°, 2.852 Å, I 768
36.7°, 2.451 Å, I 575

Atomic structure:
```
CrN2
1.0
4.9924 0.0000 0.0000
1.7191 4.7643 0.0000
0.0458 1.3744 6.7153
Cr N
4 8
direct
0.0000 0.0000 0.0000 Cr
0.0972 0.1221 0.5595 Cr
0.5287 0.4192 0.2869 Cr
0.8075 0.6652 0.6708 Cr
0.0597 0.2497 0.8049 N
0.2661 0.2511 0.3765 N
0.3228 0.7346 0.1576 N
0.4758 0.8681 0.6583 N
0.7310 0.4390 0.4921 N
0.7374 0.2054 0.1330 N
0.8825 0.7761 0.9136 N
0.9658 0.8629 0.5077 N
```



# 8
The following is a theoretical X-ray diffraction stick pattern of PrBe13. It was derived from a PBE-relaxed structure, using Cu Kα.
No peak broadening, texture or thermal motion is included.

Principal peaks in the range 2θ from 10° to 90°, in order of rising 2θ:
17.2°, 5.165 Å, I 856
24.4°, 3.652 Å, I 1000
30.0°, 2.982 Å, I 448
39.0°, 2.310 Å, I 726
42.9°, 2.109 Å, I 614
67.9°, 1.380 Å, I 283

Atomic structure:
```
PrBe13
1.0
0.0000 5.1653 5.1653
5.1653 0.0000 5.1653
5.1653 5.1653 0.0000
Pr Be
2 26
direct
0.2500 0.2500 0.2500 Pr
0.7500 0.7500 0.7500 Pr
0.0000 0.0000 0.0000 Be
0.0635 0.2876 0.7124 Be
0.0635 0.7124 0.9365 Be
0.0635 0.9365 0.2876 Be
0.2124 0.4365 0.7876 Be
0.2124 0.5635 0.4365 Be
0.2124 0.7876 0.5635 Be
0.2876 0.0635 0.9365 Be
0.2876 0.7124 0.0635 Be
0.2876 0.9365 0.7124 Be
0.4365 0.2124 0.5635 Be
0.4365 0.5635 0.7876 Be
0.4365 0.7876 0.2124 Be
0.5000 0.5000 0.5000 Be
0.5635 0.2124 0.7876 Be
0.5635 0.4365 0.2124 Be
0.5635 0.7876 0.4365 Be
0.7124 0.0635 0.2876 Be
0.7124 0.2876 0.9365 Be
0.7124 0.9365 0.0635 Be
0.7876 0.2124 0.4365 Be
0.7876 0.4365 0.5635 Be
0.7876 0.5635 0.2124 Be
0.9365 0.0635 0.7124 Be
0.9365 0.2876 0.0635 Be
0.9365 0.7124 0.2876 Be
```